Structure and calculated X-ray powder pattern of CaPd3O4 (a cell relaxed with PBE; Cu Kα).
Neutral-atom scattering factors, no anomalous dispersion.

Main lines, most intense first (2θ = 10–80°):
d (Å), 2θ (°), intensity
2.611, 34.34, 100
2.384, 37.74, 37
1.619, 56.86, 23
1.686, 54.44, 22
1.274, 74.46, 20
1.561, 59.21, 19

Atomic structure:
Cell lengths 5.839, 5.839, 5.839 Å; angles 90.00, 90.00, 90.00 degrees
Sites, in units of the cell vectors:
1 Ca 0.000 0.000 0.000
2 Ca 0.500 0.500 0.500
3 Pd 0.000 0.250 0.500
4 Pd 0.000 0.750 0.500
5 Pd 0.250 0.500 0.000
6 Pd 0.500 0.000 0.250
7 Pd 0.500 0.000 0.750
8 Pd 0.750 0.500 0.000
9 O 0.250 0.250 0.250
10 O 0.250 0.250 0.750
11 O 0.250 0.750 0.250
12 O 0.250 0.750 0.750
13 O 0.750 0.250 0.250
14 O 0.750 0.250 0.750
15 O 0.750 0.750 0.250
16 O 0.750 0.750 0.750

***

Structure and calculated X-ray powder pattern of Cd8Sn (a cell relaxed with PBE; Cu Kα).
Neutral-atom scattering factors, no anomalous dispersion.

Main lines, most intense first (2θ = 10–80°):
d (Å), 2θ (°), intensity
2.266, 39.78, 100
2.807, 31.88, 92
2.685, 33.37, 81
2.675, 33.49, 80
2.357, 38.18, 56
2.260, 39.89, 49

Atomic structure:
Cell lengths 5.069, 5.593, 8.459 Å; angles 87.73, 84.62, 63.22 degrees
Sites, in units of the cell vectors:
1 Cd 0.009 0.333 0.336
2 Cd 0.326 0.000 0.663
3 Cd 0.329 0.341 0.000
4 Cd 0.341 0.668 0.335
5 Cd 0.659 0.332 0.665
6 Cd 0.671 0.659 0.000
7 Cd 0.674 0.000 0.337
8 Cd 0.991 0.667 0.664
9 Sn 0.000 0.000 0.000

***

Structure and calculated X-ray powder pattern of NaZn13 (a cell relaxed with PBE; Cu Kα).
Neutral-atom scattering factors, no anomalous dispersion.

Main lines, most intense first (2θ = 10–80°):
d (Å), 2θ (°), intensity
2.072, 43.68, 100
2.043, 44.33, 47
2.503, 35.88, 41
6.130, 14.45, 38
1.346, 69.90, 16
2.742, 32.66, 10

Atomic structure:
Cell lengths 8.670, 8.670, 8.670 Å; angles 60.00, 60.00, 60.00 degrees
Sites, in units of the cell vectors:
1 Na 0.250 0.250 0.250
2 Na 0.750 0.750 0.750
3 Zn 0.000 0.000 0.000
4 Zn 0.061 0.301 0.699
5 Zn 0.061 0.699 0.939
6 Zn 0.061 0.939 0.301
7 Zn 0.199 0.439 0.801
8 Zn 0.199 0.561 0.439
9 Zn 0.199 0.801 0.561
10 Zn 0.301 0.061 0.939
11 Zn 0.301 0.699 0.061
12 Zn 0.301 0.939 0.699
13 Zn 0.439 0.199 0.561
14 Zn 0.439 0.561 0.801
15 Zn 0.439 0.801 0.199
16 Zn 0.500 0.500 0.500
17 Zn 0.561 0.199 0.801
18 Zn 0.561 0.439 0.199
19 Zn 0.561 0.801 0.439
20 Zn 0.699 0.061 0.301
21 Zn 0.699 0.301 0.939
22 Zn 0.699 0.939 0.061
23 Zn 0.801 0.199 0.439
24 Zn 0.801 0.439 0.561
25 Zn 0.801 0.561 0.199
26 Zn 0.939 0.061 0.699
27 Zn 0.939 0.301 0.061
28 Zn 0.939 0.699 0.301

***

Structure and calculated X-ray powder pattern of PrDy2HoTl4 (a cell relaxed with PBE; Cu Kα).
Neutral-atom scattering factors, no anomalous dispersion.

Main lines, most intense first (2θ = 10–80°):
d (Å), 2θ (°), intensity
2.709, 33.07, 100
1.563, 59.12, 29
1.915, 47.47, 18
1.567, 58.93, 10
1.210, 79.12, 8
1.212, 78.98, 8

Atomic structure:
Cell lengths 9.403, 9.403, 9.403 Å; angles 33.44, 33.44, 33.44 degrees
Sites, in units of the cell vectors:
1 Pr 0.000 0.000 0.000
2 Dy 0.249 0.249 0.249
3 Dy 0.751 0.751 0.751
4 Ho 0.500 0.500 0.500
5 Tl 0.127 0.127 0.127
6 Tl 0.377 0.377 0.377
7 Tl 0.623 0.623 0.623
8 Tl 0.873 0.873 0.873

***

Structure and calculated X-ray powder pattern of PmTmAu4 (a cell relaxed with PBE; Cu Kα).
Neutral-atom scattering factors, no anomalous dispersion.

Main lines, most intense first (2θ = 10–80°):
d (Å), 2θ (°), intensity
2.363, 38.07, 100
2.669, 33.58, 92
2.379, 37.81, 33
1.473, 63.11, 23
1.882, 48.37, 17
1.893, 48.07, 17

Atomic structure:
Cell lengths 3.763, 5.268, 7.547 Å; angles 69.86, 75.60, 69.17 degrees
Sites, in units of the cell vectors:
1 Pm 0.000 0.000 0.000
2 Tm 0.000 0.500 0.500
3 Au 0.334 0.991 0.341
4 Au 0.338 0.506 0.819
5 Au 0.662 0.494 0.181
6 Au 0.666 0.009 0.659

***

Structure and calculated X-ray powder pattern of BaCaMg2Pd (a cell relaxed with PBE; Cu Kα).
Neutral-atom scattering factors, no anomalous dispersion.

Main lines, most intense first (2θ = 10–80°):
d (Å), 2θ (°), intensity
5.333, 16.62, 100
3.771, 23.59, 61
2.666, 33.61, 51
1.970, 46.07, 41
2.923, 30.58, 33
2.310, 38.98, 32

Atomic structure:
Cell lengths 5.333, 5.333, 5.847 Å; angles 90.00, 90.00, 90.00 degrees
Sites, in units of the cell vectors:
1 Ba 0.000 0.000 0.000
2 Ca 0.500 0.500 0.000
3 Mg 0.000 0.500 0.500
4 Mg 0.500 0.000 0.500
5 Pd 0.000 0.000 0.500

***

Structure and calculated X-ray powder pattern of Ce12Th3Pa (a cell relaxed with PBE; Cu Kα).
Neutral-atom scattering factors, no anomalous dispersion.

Main lines, most intense first (2θ = 10–80°):
d (Å), 2θ (°), intensity
2.759, 32.45, 100
2.386, 37.71, 34
1.439, 64.77, 28
1.691, 54.24, 23
2.398, 37.51, 17
1.445, 64.50, 13

Atomic structure:
Cell lengths 4.771, 4.771, 19.184 Å; angles 90.00, 90.00, 90.00 degrees
Sites, in units of the cell vectors:
1 Ce 0.000 0.000 0.000
2 Ce 0.000 0.000 0.246
3 Ce 0.000 0.000 0.500
4 Ce 0.000 0.000 0.754
5 Ce 0.000 0.500 0.120
6 Ce 0.000 0.500 0.373
7 Ce 0.000 0.500 0.627
8 Ce 0.000 0.500 0.880
9 Ce 0.500 0.000 0.120
10 Ce 0.500 0.000 0.373
11 Ce 0.500 0.000 0.627
12 Ce 0.500 0.000 0.880
13 Th 0.500 0.500 0.247
14 Th 0.500 0.500 0.500
15 Th 0.500 0.500 0.753
16 Pa 0.500 0.500 0.000